No. 1
In4Re5: theoretical X-ray powder pattern (λ = 1.5418 Å (Cu Kα)), based on a DFT-relaxed cell (GGA-PBE, Alexandria).
Neutral-atom scattering factors, no anomalous dispersion.

Structure:
Cell: 8.812 8.812 4.199 Å, 90.00 90.00 90.00°
Space group I4/mmm (No. 139)
Asymmetric unit:
In 0.000 0.314 0.000
Re 0.000 0.000 0.000
Re 0.148 0.148 0.500

Top 10 peaks for 10° ≤ 2θ ≤ 90°, in order of rising 2θ:
index, 2θ (°), I (rel.)
1 1 0, 14.2, 20
3 0 1, 37.4, 100
0 0 2, 43.1, 18
3 3 0, 43.6, 30
4 1 1, 47.7, 12
3 3 2, 62.9, 20
6 0 0, 63.3, 8
3 0 3, 75.2, 13
6 3 1, 75.9, 17
6 0 2, 79.7, 8

=====

No. 2
K2FeI2Cl2: theoretical X-ray powder pattern (λ = 1.5418 Å (Cu Kα)), based on a DFT-relaxed cell (GGA-PBE, Alexandria).
Neutral-atom scattering factors, no anomalous dispersion.

Structure:
Cell: 14.962 4.466 8.123 Å, 90.00 120.20 90.00°
Space group C2/m (No. 12)
Asymmetric unit:
K 0.165 0.000 0.193
Fe 0.000 0.000 0.500
I 0.038 0.500 0.777
Cl 0.174 0.000 0.593

Top 10 peaks for 10° ≤ 2θ ≤ 90°, in order of rising 2θ:
index, 2θ (°), I (rel.)
2 0 0, 13.7, 83
4 0 -1, 23.8, 39
0 0 2, 25.4, 23
1 1 1, 26.4, 38
4 0 -2, 26.5, 24
3 1 0, 28.8, 60
1 1 -2, 30.3, 100
3 1 -2, 30.8, 62
0 2 0, 40.4, 31
7 1 -3, 49.3, 28